# GaCuAs
Computed XRD peak list, λ = 1.5418 Å (Cu Kα). Input: a GGA-PBE-relaxed structure.

The 8 most intense peaks (2θ = 15–90°), sorted by position:
2θ 33.0, I 36, hkl 1 1 0
2θ 35.3, I 100, hkl 1 0 2
2θ 36.2, I 63, hkl 1 1 1
2θ 41.2, I 62, hkl 2 0 1
2θ 49.1, I 42, hkl 0 2 2
2θ 51.4, I 17, hkl 2 1 0
2θ 53.7, I 42, hkl 1 2 1
2θ 86.4, I 24, hkl 2 2 3

Crystal structure
Unit cell a=5.4349 b=5.4349 c=6.0429 alpha=90.00 beta=90.00 gamma=120.00
Fractional positions:
Ga: 0.0000 0.4896 0.3333
Ga: 0.4896 0.0000 0.6667
Ga: 0.5104 0.5104 0.0000
Cu: 0.0000 0.8105 0.8333
Cu: 0.1895 0.1895 0.5000
Cu: 0.8105 0.0000 0.1667
As: 0.0000 0.3287 0.8333
As: 0.3287 0.0000 0.1667
As: 0.6713 0.6713 0.5000